For KCrMo2O8, a structure optimized by DFT (PBE+U) gives the theoretical powder X-ray diffraction pattern in this record (CuKα).
Lines closer than 0.1° are merged.

Main lines, by angle (10 to 90 degrees two-theta):
hkl, d (Å), I_rel
0 0 1, 7.919, 81
-1 1 1, 4.190, 77
1 -1 1, 4.136, 87
0 2 -2, 3.951, 80
1 1 1, 3.100, 100
1 3 -2, 2.721, 68

Crystal structure
```
data_KCrMo2O8
_symmetry_space_group_name_H-M 'P -1'
_symmetry_Int_Tables_number 2
_cell_length_a 5.7638
_cell_length_b 9.2642
_cell_length_c 9.5131
_cell_angle_alpha 117.64
_cell_angle_beta 107.62
_cell_angle_gamma 90.03
loop_
_symmetry_equiv_pos_as_xyz
'x,y,z'
'-x,-y,-z'
loop_
_atom_site_label
_atom_site_fract_x
_atom_site_fract_y
_atom_site_fract_z
K1 0.1853 0.2501 0.0004
Cr1 0.0000 0.0000 0.5000
Cr2 0.5000 0.5000 0.5000
Mo1 0.1200 0.7353 0.6988
Mo2 0.4218 0.7649 0.3008
O1 0.0535 0.8200 0.5582
O2 0.1398 0.4162 0.3559
O3 0.1704 0.8924 0.9050
O4 0.2169 0.9161 0.3568
O5 0.2661 0.6077 0.0945
O6 0.2982 0.1452 0.7018
O7 0.4030 0.6457 0.7014
O8 0.4961 0.6787 0.4400
```

---

For MgFeF4, a structure optimized by DFT (PBE+U) gives the theoretical powder X-ray diffraction pattern in this record (CuKα).
Lines closer than 0.1° are merged.

Main lines, by angle (10 to 90 degrees two-theta):
hkl, d (Å), I_rel
1 1 -1, 3.599, 16
3 1 -1, 2.952, 100
2 0 2, 1.814, 54
6 0 -2, 1.806, 18
2 2 -2, 1.800, 33
1 3 1, 1.539, 13

Crystal structure
```
data_MgFeF4
_symmetry_space_group_name_H-M 'C 1 2 1'
_symmetry_Int_Tables_number 5
_cell_length_a 11.4834
_cell_length_b 5.1015
_cell_length_c 5.0787
_cell_angle_alpha 90.00
_cell_angle_beta 116.03
_cell_angle_gamma 90.00
loop_
_symmetry_equiv_pos_as_xyz
'x,y,z'
'-x,y,-z'
'x+1/2,y+1/2,z'
'-x+1/2,y+1/2,-z'
loop_
_atom_site_label
_atom_site_fract_x
_atom_site_fract_y
_atom_site_fract_z
Mg1 0.0000 0.0000 0.0000
Mg2 0.0000 0.4985 0.5000
Fe1 0.2493 0.5047 0.2458
F1 0.1175 0.2849 0.8982
F2 0.1179 0.2104 0.3969
F3 0.1179 0.7183 0.3435
F4 0.1206 0.7825 0.8481
```

---

Repeat the second record exactly.
For MgFeF4, a structure optimized by DFT (PBE+U) gives the theoretical powder X-ray diffraction pattern in this record (CuKα).
Lines closer than 0.1° are merged.

Main lines, by angle (10 to 90 degrees two-theta):
hkl, d (Å), I_rel
1 1 -1, 3.599, 16
3 1 -1, 2.952, 100
2 0 2, 1.814, 54
6 0 -2, 1.806, 18
2 2 -2, 1.800, 33
1 3 1, 1.539, 13

Crystal structure
```
data_MgFeF4
_symmetry_space_group_name_H-M 'C 1 2 1'
_symmetry_Int_Tables_number 5
_cell_length_a 11.4834
_cell_length_b 5.1015
_cell_length_c 5.0787
_cell_angle_alpha 90.00
_cell_angle_beta 116.03
_cell_angle_gamma 90.00
loop_
_symmetry_equiv_pos_as_xyz
'x,y,z'
'-x,y,-z'
'x+1/2,y+1/2,z'
'-x+1/2,y+1/2,-z'
loop_
_atom_site_label
_atom_site_fract_x
_atom_site_fract_y
_atom_site_fract_z
Mg1 0.0000 0.0000 0.0000
Mg2 0.0000 0.4985 0.5000
Fe1 0.2493 0.5047 0.2458
F1 0.1175 0.2849 0.8982
F2 0.1179 0.2104 0.3969
F3 0.1179 0.7183 0.3435
F4 0.1206 0.7825 0.8481
```